# PbS2N2
Simulated powder diffractogram, Cu Kα. Input: DFT lattice parameters and positions (PBE).

Most intense lines, 2θ = 15–90°, by angle:
4.888 Å, rel. 56, hkl 0 0 1
3.848 Å, rel. 38, hkl 1 0 0
3.024 Å, rel. 100, hkl 1 0 1
2.721 Å, rel. 54, hkl 1 1 0
2.444 Å, rel. 30, hkl 0 0 2
2.378 Å, rel. 67, hkl 1 1 1
2.063 Å, rel. 17, hkl 1 0 2
1.924 Å, rel. 28, hkl 2 0 0
1.818 Å, rel. 34, hkl 1 1 2
1.790 Å, rel. 18, hkl 2 0 1
1.623 Å, rel. 33, hkl 2 1 1
1.512 Å, rel. 25, hkl 2 0 2

Cell and atoms:
```
data_PbS2N2
_chemical_formula_sum 'Pb1 S2 N2'
_cell_length_a 3.8483
_cell_length_b 3.8483
_cell_length_c 4.8875
_cell_angle_alpha 90.00
_cell_angle_beta 90.00
_cell_angle_gamma 90.00
_space_group_name_H-M_alt 'P 4/m m m'
_space_group_IT_number 123
_space_group_name_Hall '-P 4 2'
loop_
_atom_site_label
_atom_site_type_symbol
_atom_site_fract_x
_atom_site_fract_y
_atom_site_fract_z
_atom_site_occupancy
Pb1 Pb 0.0000 0.0000 0.0000 1
S1 S 0.5000 0.5000 0.0000 1
S2 S 0.5000 0.5000 0.5000 1
N1 N 0.0000 0.5000 0.5000 1
```